Structure and calculated PXRD pattern of Ba4CoOs2O12 (a structure optimized by DFT (GGA+U); λ = 1.5418 Å (Cu Kα)).
Neutral-atom scattering factors, no anomalous dispersion.

Peak list (10 most intense, 2θ from 10° to 80°, by intensity)
two_theta  d/Å  I/Imax
28.97  3.082  100
31.39  2.850  93
43.24  2.092  52
54.40  1.687  34
55.88  1.645  18
65.50  1.425  17
69.29  1.356  17
60.01  1.542  16
73.17  1.293  15
18.26  4.859  14

Crystal structure
```
Ba4CoOs2O12
1.0
2.850 1.645 9.205
-2.850 1.645 9.205
0.000 -3.291 9.205
Ba Co Os O
4 1 2 12
Direct
0.131 0.131 0.131
0.291 0.291 0.291
0.709 0.709 0.709
0.869 0.869 0.869
0.000 0.000 0.000
0.419 0.419 0.419
0.581 0.581 0.581
0.139 0.614 0.614
0.217 0.217 0.697
0.217 0.697 0.217
0.303 0.783 0.783
0.386 0.386 0.861
0.386 0.861 0.386
0.614 0.139 0.614
0.614 0.614 0.139
0.697 0.217 0.217
0.783 0.303 0.783
0.783 0.783 0.303
0.861 0.386 0.386
```